# LaZnNi4
Simulated PXRD pattern, Cu Kα X-rays. Input: a PBE-relaxed structure.
Lines closer than 0.1° are merged.

The 10 most intense peaks (2θ = 5–70°), sorted by position:
index  2θ (°)  I_rel
1 0 1  30.25  39
1 1 0  35.09  32
2 0 0  40.74  33
1 1 1  42.04  100
0 0 2  45.75  25
2 0 1  46.99  10
1 1 2  58.94  14
2 1 1  59.97  11
2 0 2  62.92  23
3 0 1  67.71  23

Structural model:
Cell lengths 5.1150, 5.1150, 3.9661 Å; angles 90.00, 90.00, 120.00 degrees
Space group P-6m2 (No. 187)
Inequivalent atoms, fractional coordinates:
La  0.0000  0.0000  0.0000 x1
Zn  0.3333  0.6667  0.0000 x1
Ni  0.5025  0.0051  0.5000 x3
Ni  0.6667  0.3333  0.0000 x1

# TaSn2
Simulated PXRD pattern, Cu Kα X-rays. Input: a PBE-relaxed structure.
Lines closer than 0.1° are merged.

The 10 most intense peaks (2θ = 5–70°), sorted by position:
index  2θ (°)  I_rel
0 0 4  18.33  18
1 1 1  18.53  17
2 0 2  32.73  23
0 2 6  33.15  20
1 3 3  34.34  41
0 4 0  36.34  46
1 1 7  37.25  47
2 2 4  41.00  100
1 5 7  59.72  25
4 0 0  65.39  29

Structural model:
Cell lengths 5.7054, 9.8942, 19.3612 Å; angles 90.00, 90.00, 90.00 degrees
Space group Fddd (No. 70, origin choice 2)
Inequivalent atoms, fractional coordinates:
Ta  0.1250  0.1250  0.2521 x16
Sn  0.1250  0.1250  0.5435 x16
Sn  0.1250  0.2932  0.1250 x16

# ZnN3Cl5
Simulated PXRD pattern, Cu Kα X-rays. Input: a PBE-relaxed structure.
Lines closer than 0.1° are merged.

The 10 most intense peaks (2θ = 5–70°), sorted by position:
index  2θ (°)  I_rel
0 1 1  13.15  100
1 0 2  15.98  38
1 0 3  21.62  25
2 1 0  22.04  26
0 2 0  22.99  58
1 1 3  24.53  28
0 2 2  26.48  39
2 0 3  27.16  71
3 0 2  31.28  34
1 2 3  31.78  22

Structural model:
Cell lengths 9.4538, 7.7323, 13.6922 Å; angles 90.00, 90.00, 90.00 degrees
Space group Pnma (No. 62)
Inequivalent atoms, fractional coordinates:
Zn  0.1996  0.2500  0.1788 x4
N  0.0441  0.7500  0.1211 x4
N  0.0875  0.0689  0.3871 x8
Cl  0.0816  0.2500  0.8004 x4
Cl  0.0849  0.2500  0.4261 x4
Cl  0.1213  0.7500  0.7825 x4
Cl  0.1620  0.0089  0.0920 x8

# CsCa3
Simulated PXRD pattern, Cu Kα X-rays. Input: a PBE-relaxed structure.
Lines closer than 0.1° are merged.

The 10 most intense peaks (2θ = 5–70°), sorted by position:
index  2θ (°)  I_rel
1 0 1  16.66  32
1 1 2  26.20  100
2 0 0  29.56  36
0 0 4  31.86  15
2 1 1  34.12  11
2 2 0  42.30  13
2 0 4  44.01  23
3 1 2  50.44  30
1 1 6  53.41  13
2 2 4  53.91  12

Structural model:
Cell lengths 6.0434, 6.0434, 11.2369 Å; angles 90.00, 90.00, 90.00 degrees
Space group I4/mmm (No. 139)
Inequivalent atoms, fractional coordinates:
Cs  0.0000  0.0000  0.0000 x2
Ca  0.0000  0.0000  0.5000 x2
Ca  0.0000  0.5000  0.2500 x4

# LaGa4Os
Simulated PXRD pattern, Cu Kα X-rays. Input: a PBE-relaxed structure.
Lines closer than 0.1° are merged.

The 10 most intense peaks (2θ = 5–70°), sorted by position:
index  2θ (°)  I_rel
2 2 1  29.42  85
3 0 2  35.96  39
3 2 1  36.02  85
4 0 0  36.72  31
0 2 3  40.31  100
0 4 0  40.49  49
4 0 2  43.76  36
2 4 2  50.80  23
4 2 3  55.66  23
6 0 2  61.69  33

Structural model:
Cell lengths 9.7908, 8.9122, 7.7610 Å; angles 90.00, 90.00, 90.00 degrees
Space group Pmma (No. 51)
Inequivalent atoms, fractional coordinates:
La  0.2500  0.0000  0.1785 x2
La  0.2500  0.2511  0.6612 x4
Ga  0.0000  0.0000  0.5000 x2
Ga  0.0603  0.5000  0.8385 x4
Ga  0.0752  0.2645  0.3207 x8
Ga  0.0849  0.0000  0.8439 x4
Ga  0.2500  0.3438  0.0479 x4
Ga  0.2500  0.5000  0.3695 x2
Os  0.0000  0.2415  0.0000 x4
Os  0.0000  0.5000  0.5000 x2

# Ca2BHN2
Simulated PXRD pattern, Cu Kα X-rays. Input: a PBE-relaxed structure.
Lines closer than 0.1° are merged.

The 10 most intense peaks (2θ = 5–70°), sorted by position:
index  2θ (°)  I_rel
1 0 1  13.06  27
1 0 3  28.45  80
3 0 1  30.45  38
2 1 0  31.11  48
1 1 2  31.70  40
2 1 1  32.40  100
2 1 2  36.02  46
1 1 3  37.67  30
0 2 0  49.53  30
4 1 2  50.16  34

Structural model:
Cell lengths 9.2110, 3.6807, 10.0103 Å; angles 90.00, 90.00, 90.00 degrees
Space group Pnma (No. 62)
Inequivalent atoms, fractional coordinates:
Ca  0.0273  0.2500  0.1559 x4
Ca  0.1766  0.2500  0.5243 x4
B  0.2345  0.2500  0.8235 x4
H  0.0410  0.7500  0.6026 x4
N  0.1524  0.2500  0.9357 x4
N  0.1791  0.7500  0.2169 x4

# BaCaNdSbO6
Simulated PXRD pattern, Cu Kα X-rays. Input: a PBE-relaxed structure.
Lines closer than 0.1° are merged.

The 10 most intense peaks (2θ = 5–70°), sorted by position:
index  2θ (°)  I_rel
1 1 0  14.72  7
0 2 0  20.87  10
1 1 2  25.63  4
2 0 2  29.69  100
3 1 2  39.62  4
0 4 0  42.48  28
2 0 4  47.79  4
2 4 2  52.68  45
4 4 0  61.64  16
2 0 6  69.89  18

Structural model:
Cell lengths 8.5051, 8.5141, 8.5166 Å; angles 90.00, 90.00, 90.00 degrees
Space group Pnnn (No. 48, origin choice 2)
Inequivalent atoms, fractional coordinates:
Ba  0.2500  0.2500  0.2500 x2
Ba  0.2500  0.2500  0.7500 x2
Ca  0.2500  0.7500  0.2500 x2
Ca  0.2500  0.7500  0.7500 x2
Nd  0.0000  0.0000  0.0000 x4
Sb  0.0000  0.0000  0.5000 x4
O  0.0319  0.2316  0.4737 x8
O  0.0547  0.5406  0.2300 x8
O  0.2297  0.5343  0.9413 x8

# CaSnP2O7
Simulated PXRD pattern, Cu Kα X-rays. Input: a PBE-relaxed structure.
Lines closer than 0.1° are merged.

The 10 most intense peaks (2θ = 5–70°), sorted by position:
index  2θ (°)  I_rel
1 1 0  15.73  16
0 1 -1  19.11  16
1 0 -1  19.39  26
1 2 0  25.73  53
1 2 1  28.00  23
1 0 2  29.25  49
1 0 -2  29.46  100
0 2 -1  31.00  19
0 2 2  36.66  18
3 0 -2  52.37  16

Structural model:
Cell lengths 6.5615, 7.0305, 7.0579 Å; angles 86.48, 88.30, 67.36 degrees
Space group P-1 (No. 2)
Inequivalent atoms, fractional coordinates:
Ca  0.1879  0.2954  0.3666 x2
Sn  0.2377  0.8835  0.8503 x2
P  0.2776  0.7671  0.3965 x2
P  0.3166  0.3400  0.8534 x2
O  0.1407  0.9865  0.3151 x2
O  0.1424  0.5583  0.8331 x2
O  0.1469  0.6312  0.4356 x2
O  0.2710  0.1845  0.7337 x2
O  0.3754  0.2615  0.0619 x2
O  0.4088  0.7825  0.5717 x2
O  0.4557  0.6473  0.2373 x2